MnAlCd2O4: calculated X-ray powder pattern (Cu Kα (weighted mean of Kα1 and Kα2)), based on the PBE+U geometry in Alexandria.
Neutral-atom scattering factors, no anomalous dispersion.

The 10 most intense peaks (2θ from 10° to 90°), sorted by position:
2θ (°)	intensity
17.56	15
26.22	16
31.73	100
35.55	12
37.42	20
41.62	13
52.57	28
53.96	14
61.46	13
63.97	24

Atomic structure:
```
data_MnAlCd2O4
_chemical_formula_sum 'Mn2 Al2 Cd4 O8'
_symmetry_space_group_name_H-M 'I -4 2 m'
_symmetry_Int_Tables_number 121
_symmetry_space_group_name_Hall 'I -4 2'
_cell_length_a 4.807
_cell_length_b 4.807
_cell_length_c 10.103
_cell_angle_alpha 90.00
_cell_angle_beta 90.00
_cell_angle_gamma 90.00
loop_
_atom_site_label
_atom_site_type_symbol
_atom_site_fract_x
_atom_site_fract_y
_atom_site_fract_z
Mn1 Mn 0.000 0.000 0.000
Al1 Al 0.000 0.000 0.500
Cd1 Cd 0.000 0.500 0.250
O1 O 0.222 0.222 0.401
```